The following is a computed powder XRD pattern of CrRe3. It was derived from a DFT-relaxed cell (GGA-PBE, Alexandria), using Cu Kα X-rays.

Most intense lines, 10 to 80 degrees two-theta, sorted by position:
2θ/deg	d (Å)	Rel. int.
19.94	4.453	27
23.19	3.836	9
38.50	2.338	11
40.38	2.233	100
40.51	2.227	99
46.88	1.938	65
47.40	1.918	32
68.29	1.374	11
68.65	1.367	10
68.88	1.363	41

Atomic structure:
```
data_CrRe3
_chemical_formula_sum 'Cr2 Re6'
_cell_length_a 5.469
_cell_length_b 7.672
_cell_length_c 2.747
_cell_angle_alpha 90.00
_cell_angle_beta 90.00
_cell_angle_gamma 90.00
_symmetry_space_group_name_H-M 'C m m m'
_symmetry_Int_Tables_number 65
_symmetry_space_group_name_Hall '-C 2 2'
loop_
_atom_site_label
_atom_site_type_symbol
_atom_site_fract_x
_atom_site_fract_y
_atom_site_fract_z
Cr1 Cr 0.000 0.000 0.000
Re1 Re 0.000 0.500 0.000
Re2 Re 0.250 0.250 0.500
```

---

The following is a computed powder XRD pattern of Cr3Re2. It was derived from a DFT-relaxed cell (GGA-PBE, Alexandria), using Cu Kα X-rays.

Most intense lines, 10 to 80 degrees two-theta, sorted by position:
2θ/deg	d (Å)	Rel. int.
13.98	6.336	33
19.82	4.480	23
41.56	2.173	80
41.87	2.157	45
42.82	2.112	32
43.13	2.098	100
45.63	1.988	42
46.78	1.942	33
72.51	1.304	28
77.56	1.231	25

Atomic structure:
```
data_Cr3Re2
_chemical_formula_sum 'Cr18 Re12'
_cell_length_a 8.960
_cell_length_b 8.960
_cell_length_c 4.923
_cell_angle_alpha 90.00
_cell_angle_beta 90.00
_cell_angle_gamma 90.00
_symmetry_space_group_name_H-M 'P 42/m n m'
_symmetry_Int_Tables_number 136
_symmetry_space_group_name_Hall '-P 4n 2n'
loop_
_atom_site_label
_atom_site_type_symbol
_atom_site_fract_x
_atom_site_fract_y
_atom_site_fract_z
Cr1 Cr 0.000 0.000 0.000
Cr2 Cr 0.033 0.379 0.500
Cr3 Cr 0.062 0.258 0.000
Re1 Re 0.106 0.106 0.500
Re2 Re 0.185 0.815 0.251
```

---

The following is a computed powder XRD pattern of Cr3Re2. It was derived from a DFT-relaxed cell (GGA-PBE, Alexandria), using Cu Kα X-rays.

Most intense lines, 10 to 80 degrees two-theta, sorted by position:
2θ/deg	d (Å)	Rel. int.
21.34	4.164	28
36.41	2.467	27
38.55	2.335	32
40.47	2.229	36
41.70	2.166	22
43.47	2.082	23
44.63	2.030	26
45.07	2.012	100
46.20	1.965	34
74.31	1.276	22

Atomic structure:
```
data_Cr3Re2
_chemical_formula_sum 'Cr18 Re12'
_cell_length_a 9.190
_cell_length_b 9.190
_cell_length_c 4.671
_cell_angle_alpha 90.00
_cell_angle_beta 90.00
_cell_angle_gamma 90.00
_symmetry_space_group_name_H-M 'P 42/m n m'
_symmetry_Int_Tables_number 136
_symmetry_space_group_name_Hall '-P 4n 2n'
loop_
_atom_site_label
_atom_site_type_symbol
_atom_site_fract_x
_atom_site_fract_y
_atom_site_fract_z
Cr1 Cr 0.000 0.000 0.000
Cr2 Cr 0.062 0.251 0.000
Cr3 Cr 0.187 0.813 0.251
Re1 Re 0.033 0.365 0.500
Re2 Re 0.099 0.099 0.500
```

---

The following is a computed powder XRD pattern of Cr3Re4. It was derived from a DFT-relaxed cell (GGA-PBE, Alexandria), using Cu Kα X-rays.

Most intense lines, 10 to 80 degrees two-theta, sorted by position:
2θ/deg	d (Å)	Rel. int.
16.42	5.398	18
32.61	2.746	29
42.23	2.140	100
43.06	2.101	49
59.98	1.542	8
61.59	1.506	8
62.53	1.485	16
72.32	1.307	6
76.64	1.243	15
78.36	1.220	32

Atomic structure:
```
data_Cr3Re4
_chemical_formula_sum 'Cr6 Re8'
_cell_length_a 2.971
_cell_length_b 2.971
_cell_length_c 21.594
_cell_angle_alpha 90.00
_cell_angle_beta 90.00
_cell_angle_gamma 90.00
_symmetry_space_group_name_H-M 'I 4/m m m'
_symmetry_Int_Tables_number 139
_symmetry_space_group_name_Hall '-I 4 2'
loop_
_atom_site_label
_atom_site_type_symbol
_atom_site_fract_x
_atom_site_fract_y
_atom_site_fract_z
Cr1 Cr 0.000 0.000 0.000
Cr2 Cr 0.000 0.000 0.280
Re1 Re 0.000 0.000 0.149
Re2 Re 0.000 0.000 0.431
```

---

The following is a computed powder XRD pattern of Cr2Re. It was derived from a DFT-relaxed cell (GGA-PBE, Alexandria), using Cu Kα X-rays.

Most intense lines, 10 to 80 degrees two-theta, sorted by position:
2θ/deg	d (Å)	Rel. int.
14.38	6.158	64
29.00	3.079	18
37.68	2.388	32
42.35	2.134	27
43.21	2.094	100
44.12	2.053	23
52.88	1.731	9
62.78	1.480	24
65.46	1.426	9
78.05	1.224	17

Atomic structure:
```
data_Cr2Re
_chemical_formula_sum 'Cr8 Re4'
_cell_length_a 2.962
_cell_length_b 4.269
_cell_length_c 12.317
_cell_angle_alpha 90.00
_cell_angle_beta 90.00
_cell_angle_gamma 90.00
_symmetry_space_group_name_H-M 'F m m m'
_symmetry_Int_Tables_number 69
_symmetry_space_group_name_Hall '-F 2 2'
loop_
_atom_site_label
_atom_site_type_symbol
_atom_site_fract_x
_atom_site_fract_y
_atom_site_fract_z
Cr1 Cr 0.000 0.000 0.173
Re1 Re 0.000 0.000 0.500
```

---

The following is a computed powder XRD pattern of CrRe3. It was derived from a DFT-relaxed cell (GGA-PBE, Alexandria), using Cu Kα X-rays.

Most intense lines, 10 to 80 degrees two-theta, sorted by position:
2θ/deg	d (Å)	Rel. int.
10.00	8.842	24
20.08	4.421	7
30.33	2.947	5
37.89	2.375	27
39.28	2.294	9
40.82	2.211	25
43.25	2.092	100
56.91	1.618	16
68.43	1.371	17
76.00	1.252	18

Atomic structure:
```
data_CrRe3
_chemical_formula_sum 'Cr1 Re3'
_cell_length_a 2.7422
_cell_length_b 2.7422
_cell_length_c 8.8421
_cell_angle_alpha 90.00
_cell_angle_beta 90.00
_cell_angle_gamma 120.00
_symmetry_space_group_name_H-M 'P -6 m 2'
_symmetry_Int_Tables_number 187
_symmetry_space_group_name_Hall 'P -6 2'
loop_
_atom_site_label
_atom_site_type_symbol
_atom_site_fract_x
_atom_site_fract_y
_atom_site_fract_z
Cr1 Cr 0.0000 0.0000 0.0000
Re1 Re 0.0000 0.0000 0.5000
Re2 Re 0.3333 0.6667 0.2431
```

---

The following is a computed powder XRD pattern of Cr3Re5. It was derived from a DFT-relaxed cell (GGA-PBE, Alexandria), using Cu Kα X-rays.

Most intense lines, 10 to 80 degrees two-theta, sorted by position:
2θ/deg	d (Å)	Rel. int.
27.83	3.206	26
29.24	3.055	22
37.23	2.415	28
37.60	2.392	23
38.51	2.338	52
41.82	2.160	47
42.16	2.144	32
42.99	2.104	100
46.34	1.959	59
71.58	1.318	22

Atomic structure:
```
data_Cr3Re5
_chemical_formula_sum 'Cr12 Re20'
_cell_length_a 10.776
_cell_length_b 9.662
_cell_length_c 4.784
_cell_angle_alpha 90.00
_cell_angle_beta 116.35
_cell_angle_gamma 90.00
_symmetry_space_group_name_H-M 'C 1 2/c 1'
_symmetry_Int_Tables_number 15
_symmetry_space_group_name_Hall '-C 2yc'
loop_
_atom_site_label
_atom_site_type_symbol
_atom_site_fract_x
_atom_site_fract_y
_atom_site_fract_z
Cr1 Cr 0.000 0.001 0.250
Cr2 Cr 0.180 0.320 0.180
Re1 Re 0.000 0.500 0.250
Re2 Re 0.069 0.227 0.569
Re3 Re 0.227 0.069 0.227
```

---

The following is a computed powder XRD pattern of CrRe3. It was derived from a DFT-relaxed cell (GGA-PBE, Alexandria), using Cu Kα X-rays.

Most intense lines, 10 to 80 degrees two-theta, sorted by position:
2θ/deg	d (Å)	Rel. int.
32.24	2.777	10
36.62	2.454	9
36.94	2.433	14
40.19	2.244	25
41.58	2.172	25
42.30	2.136	100
45.50	1.994	11
59.21	1.561	14
74.49	1.274	11
76.38	1.247	13

Atomic structure:
```
data_CrRe3
_chemical_formula_sum 'Cr2 Re6'
_cell_length_a 2.931
_cell_length_b 8.687
_cell_length_c 4.488
_cell_angle_alpha 90.00
_cell_angle_beta 90.00
_cell_angle_gamma 90.00
_symmetry_space_group_name_H-M 'I m m 2'
_symmetry_Int_Tables_number 44
_symmetry_space_group_name_Hall 'I 2 -2'
loop_
_atom_site_label
_atom_site_type_symbol
_atom_site_fract_x
_atom_site_fract_y
_atom_site_fract_z
Cr1 Cr 0.000 0.000 0.000
Re1 Re 0.000 0.270 0.409
Re2 Re 0.000 0.500 0.986
```

---

The following is a computed powder XRD pattern of Cr5Re3. It was derived from a DFT-relaxed cell (GGA-PBE, Alexandria), using Cu Kα X-rays.

Most intense lines, 10 to 80 degrees two-theta, sorted by position:
2θ/deg	d (Å)	Rel. int.
21.20	4.191	15
30.16	2.963	30
37.16	2.420	8
43.17	2.095	100
48.58	1.874	4
53.56	1.711	9
58.25	1.584	5
62.70	1.482	16
71.14	1.325	12
79.17	1.210	32

Atomic structure:
```
data_Cr5Re3
_chemical_formula_sum 'Cr10 Re6'
_cell_length_a 5.927
_cell_length_b 5.927
_cell_length_c 5.927
_cell_angle_alpha 90.00
_cell_angle_beta 90.00
_cell_angle_gamma 90.00
_symmetry_space_group_name_H-M 'I m -3 m'
_symmetry_Int_Tables_number 229
_symmetry_space_group_name_Hall '-I 4 2 3'
loop_
_atom_site_label
_atom_site_type_symbol
_atom_site_fract_x
_atom_site_fract_y
_atom_site_fract_z
Cr1 Cr 0.000 0.000 0.000
Cr2 Cr 0.250 0.250 0.250
Re1 Re 0.000 0.000 0.500
```

---

The following is a computed powder XRD pattern of Cr3Re. It was derived from a DFT-relaxed cell (GGA-PBE, Alexandria), using Cu Kα X-rays.

Most intense lines, 10 to 80 degrees two-theta, sorted by position:
2θ/deg	d (Å)	Rel. int.
21.50	4.132	86
37.24	2.414	22
37.70	2.386	22
43.41	2.085	100
43.81	2.066	97
48.94	1.861	21
58.82	1.570	13
59.15	1.562	13
63.38	1.467	31
79.38	1.207	16

Atomic structure:
```
data_Cr3Re
_chemical_formula_sum 'Cr9 Re3'
_cell_length_a 8.2650
_cell_length_b 8.2650
_cell_length_c 2.5645
_cell_angle_alpha 90.00
_cell_angle_beta 90.00
_cell_angle_gamma 120.00
_symmetry_space_group_name_H-M 'R -3 m'
_symmetry_Int_Tables_number 166
_symmetry_space_group_name_Hall '-R 3 2"'
loop_
_atom_site_label
_atom_site_type_symbol
_atom_site_fract_x
_atom_site_fract_y
_atom_site_fract_z
Cr1 Cr 0.0000 0.5000 0.0000
Re1 Re 0.0000 0.0000 0.0000
```

---

The following is a computed powder XRD pattern of CrRe2Rh. It was derived from a DFT-relaxed cell (GGA-PBE, Alexandria), using Cu Kα X-rays.

Most intense lines, 10 to 80 degrees two-theta, sorted by position:
2θ/deg	d (Å)	Rel. int.
19.08	4.651	15
25.32	3.518	9
30.24	2.956	8
34.76	2.581	9
40.61	2.222	34
40.86	2.208	100
47.23	1.925	22
47.59	1.911	43
69.08	1.360	14
69.51	1.352	20

Atomic structure:
```
data_CrRe2Rh
_chemical_formula_sum 'Cr2 Re4 Rh2'
_cell_length_a 8.955
_cell_length_b 2.699
_cell_length_c 4.722
_cell_angle_alpha 90.00
_cell_angle_beta 99.95
_cell_angle_gamma 90.00
_symmetry_space_group_name_H-M 'C 1 m 1'
_symmetry_Int_Tables_number 8
_symmetry_space_group_name_Hall 'C -2y'
loop_
_atom_site_label
_atom_site_type_symbol
_atom_site_fract_x
_atom_site_fract_y
_atom_site_fract_z
Cr1 Cr 0.000 0.000 0.000
Re1 Re 0.254 0.000 0.752
Re2 Re 0.499 0.000 0.495
Rh1 Rh 0.248 0.500 0.238
```

---

The following is a computed powder XRD pattern of ZnCrReRu. It was derived from a DFT-relaxed cell (GGA-PBE, Alexandria), using Cu Kα X-rays.

Most intense lines, 10 to 80 degrees two-theta, sorted by position:
2θ/deg	d (Å)	Rel. int.
25.55	3.487	22
29.58	3.020	7
42.33	2.135	100
50.10	1.821	11
52.49	1.743	2
61.41	1.510	16
67.62	1.385	5
69.62	1.350	3
77.42	1.233	32

Atomic structure:
```
data_ZnCrReRu
_chemical_formula_sum 'Zn4 Cr4 Re4 Ru4'
_cell_length_a 6.039
_cell_length_b 6.039
_cell_length_c 6.039
_cell_angle_alpha 90.00
_cell_angle_beta 90.00
_cell_angle_gamma 90.00
_symmetry_space_group_name_H-M 'F -4 3 m'
_symmetry_Int_Tables_number 216
_symmetry_space_group_name_Hall 'F -4 2 3'
loop_
_atom_site_label
_atom_site_type_symbol
_atom_site_fract_x
_atom_site_fract_y
_atom_site_fract_z
Zn1 Zn 0.000 0.000 0.000
Cr1 Cr 0.250 0.250 0.750
Re1 Re 0.000 0.000 0.500
Ru1 Ru 0.250 0.250 0.250
```